Starting from DFT lattice parameters and positions (GGA-PBE), the XRD peak list of PaCo4P was calculated for Cu Kα X-rays.
Kinematic intensities with the Lorentz-polarization factor, no thermal factor.

Main lines, low angle first (2θ = 10–90°):
d [Å], two_theta, I_rel
4.635, 19.15, 60.6
2.880, 31.05, 36.9
2.865, 31.21, 70.6
2.479, 36.24, 42.1
2.310, 38.99, 98.6
2.260, 39.89, 100.0
2.123, 42.57, 75.0
1.956, 46.43, 65.1
1.823, 50.04, 39.8
1.383, 67.75, 36.7

Crystal structure
Cell: 6.761 3.645 6.367 Å, 90.00 90.00 90.00°
Space group Pmma (No. 51)
One atom of each set of equivalent atoms:
Pa1 0.250 0.000 0.148 [2 per cell]
Co1 0.000 0.000 0.500 [2 per cell]
Co2 0.053 0.500 0.792 [4 per cell]
Co3 0.250 0.500 0.454 [2 per cell]
P1 0.250 0.000 0.711 [2 per cell]

=====

Starting from DFT lattice parameters and positions (GGA-PBE), the XRD peak list of Pa2CoP2 was calculated for Cu Kα X-rays.
Kinematic intensities with the Lorentz-polarization factor, no thermal factor.

Main lines, low angle first (2θ = 10–90°):
d [Å], two_theta, I_rel
3.525, 25.26, 29.4
3.360, 26.53, 40.1
3.244, 27.50, 72.2
2.890, 30.94, 100.0
2.139, 42.25, 19.6
2.080, 43.52, 33.9
2.010, 45.10, 40.7
1.959, 46.35, 19.0
1.763, 51.86, 15.2
1.445, 64.48, 15.9

Crystal structure
Cell: 5.792 3.918 8.568 Å, 90.00 92.87 90.00°
Space group P2_1/m (No. 11)
One atom of each set of equivalent atoms:
Pa1 0.214 0.250 0.151 [2 per cell]
Pa2 0.261 0.250 0.619 [2 per cell]
Co1 0.470 0.250 0.902 [2 per cell]
P1 0.237 0.750 0.387 [2 per cell]
P2 0.266 0.750 0.876 [2 per cell]

=====

Starting from DFT lattice parameters and positions (GGA-PBE), the XRD peak list of PaCo4P4 was calculated for Cu Kα X-rays.
Kinematic intensities with the Lorentz-polarization factor, no thermal factor.

Main lines, low angle first (2θ = 10–90°):
d [Å], two_theta, I_rel
4.484, 19.80, 29.8
4.017, 22.13, 17.0
2.840, 31.50, 17.7
2.702, 33.15, 30.1
2.399, 37.48, 100.0
2.240, 40.27, 50.1
1.796, 50.83, 13.9
1.760, 51.97, 14.1
1.540, 60.08, 14.9
1.495, 62.09, 15.0

Crystal structure
Cell: 5.681 5.681 7.306 Å, 90.00 90.00 90.00°
Space group P4_2/nmc (No. 137, origin choice 2)
One atom of each set of equivalent atoms:
Pa1 0.250 0.750 0.250 [2 per cell]
Co1 0.030 0.250 0.137 [8 per cell]
P1 0.031 0.250 0.436 [8 per cell]

=====

Starting from DFT lattice parameters and positions (GGA-PBE), the XRD peak list of PaCoReP2 was calculated for Cu Kα X-rays.
Kinematic intensities with the Lorentz-polarization factor, no thermal factor.

Main lines, low angle first (2θ = 10–90°):
d [Å], two_theta, I_rel
3.658, 24.33, 60.5
2.516, 35.68, 42.5
2.451, 36.66, 19.4
2.423, 37.10, 100.0
1.971, 46.04, 34.3
1.735, 52.75, 16.4
1.552, 59.58, 19.8
1.536, 60.25, 18.9
1.410, 66.30, 17.9
1.208, 79.29, 22.5

Crystal structure
Cell: 3.942 3.942 9.805 Å, 90.00 90.00 90.00°
Space group I-4m2 (No. 119)
One atom of each set of equivalent atoms:
Pa1 0.000 0.000 0.000 [2 per cell]
Co1 0.000 0.500 0.250 [2 per cell]
Re1 0.000 0.500 0.750 [2 per cell]
P1 0.000 0.000 0.378 [4 per cell]